Computed powder diffractogram
Compound: Zn15Ag
Radiation: Cu Kα (weighted mean of Kα1 and Kα2)
Structure: a structure optimized by DFT (GGA-PBE)

Main lines, sorted by position (2θ = 10–90°):
| d [Å] | 2θ/deg | I/Imax |
| --- | --- | --- |
| 2.381 | 37.78 | 323 |
| 2.345 | 38.38 | 232 |
| 2.104 | 42.99 | 1000 |
| 1.671 | 54.95 | 156 |
| 1.354 | 69.40 | 147 |
| 1.315 | 71.81 | 199 |
| 1.177 | 81.83 | 182 |
| 1.139 | 85.22 | 123 |

Cell and atoms:
a = 5.4165 Å, b = 5.4165 Å, c = 9.5239 Å
α = 90.00°, β = 90.00°, γ = 120.00°
Atoms (fractional coordinates):
1 Zn 0.0000 0.0000 0.0000
2 Zn 0.0001 0.5001 0.0000
3 Zn 0.0002 0.5001 0.5000
4 Zn 0.3333 0.6667 0.2488
5 Zn 0.3333 0.6667 0.7512
6 Zn 0.3352 0.1676 0.2487
7 Zn 0.3352 0.1676 0.7513
8 Zn 0.4999 0.9999 0.0000
9 Zn 0.4999 0.9998 0.5000
10 Zn 0.4999 0.5001 0.0000
11 Zn 0.4999 0.5001 0.5000
12 Zn 0.8324 0.1676 0.2487
13 Zn 0.8324 0.1676 0.7513
14 Zn 0.8324 0.6648 0.2487
15 Zn 0.8324 0.6648 0.7513
16 Ag 0.0000 0.0000 0.5000


Computed powder diffractogram
Compound: HfZr3Rh2
Radiation: Cu Kα (weighted mean of Kα1 and Kα2)
Structure: a structure optimized by DFT (GGA-PBE)

Main lines, sorted by position (2θ = 10–90°):
| d [Å] | 2θ/deg | I/Imax |
| --- | --- | --- |
| 3.726 | 23.88 | 863 |
| 3.250 | 27.44 | 289 |
| 2.866 | 31.21 | 459 |
| 2.407 | 37.37 | 1000 |
| 2.256 | 39.96 | 978 |
| 2.173 | 41.57 | 423 |
| 1.793 | 50.93 | 328 |
| 1.332 | 70.71 | 353 |

Cell and atoms:
a = 7.7949 Å, b = 7.7949 Å, c = 7.7949 Å
α = 130.71°, β = 72.93°, γ = 129.88°
Atoms (fractional coordinates):
1 Hf 0.0000 0.0000 0.0000
2 Hf 0.5000 0.5000 0.0000
3 Zr 0.0201 0.2500 0.7701
4 Zr 0.2500 0.7500 0.5000
5 Zr 0.4799 0.2500 0.2299
6 Zr 0.5201 0.7500 0.7701
7 Zr 0.7500 0.2500 0.5000
8 Zr 0.9799 0.7500 0.2299
9 Rh 0.1390 0.7045 0.8435
10 Rh 0.3610 0.2045 0.5655
11 Rh 0.6390 0.7955 0.4345
12 Rh 0.8610 0.2955 0.1565


Computed powder diffractogram
Compound: PaCu2As2O7
Radiation: Cu Kα (weighted mean of Kα1 and Kα2)
Structure: a structure optimized by DFT (GGA-PBE)

Main lines, sorted by position (2θ = 10–90°):
| d [Å] | 2θ/deg | I/Imax |
| --- | --- | --- |
| 8.566 | 10.33 | 1000 |
| 4.366 | 20.34 | 314 |
| 3.763 | 23.65 | 403 |
| 2.879 | 31.06 | 573 |
| 2.680 | 33.43 | 498 |
| 2.558 | 35.08 | 198 |
| 1.962 | 46.28 | 216 |
| 1.583 | 58.28 | 201 |

Cell and atoms:
a = 9.1076 Å, b = 9.1076 Å, c = 9.1076 Å
α = 34.23°, β = 34.23°, γ = 34.23°
Atoms (fractional coordinates):
1 Pa 0.0000 0.0000 0.0000
2 Cu 0.2780 0.2780 0.2780
3 Cu 0.7220 0.7220 0.7220
4 As 0.4243 0.4243 0.4243
5 As 0.5757 0.5757 0.5757
6 O 0.0912 0.3601 0.7135
7 O 0.2865 0.6399 0.9088
8 O 0.3601 0.7135 0.0912
9 O 0.5000 0.5000 0.5000
10 O 0.6399 0.9088 0.2865
11 O 0.7135 0.0912 0.3601
12 O 0.9088 0.2865 0.6399


Computed powder diffractogram
Compound: Li2Ho2Ga3
Radiation: Cu Kα (weighted mean of Kα1 and Kα2)
Structure: a structure optimized by DFT (GGA-PBE)

Main lines, sorted by position (2θ = 10–90°):
| d [Å] | 2θ/deg | I/Imax |
| --- | --- | --- |
| 3.929 | 22.63 | 179 |
| 3.520 | 25.30 | 392 |
| 2.880 | 31.05 | 196 |
| 2.682 | 33.41 | 681 |
| 2.623 | 34.19 | 1000 |
| 2.122 | 42.61 | 221 |
| 2.102 | 43.02 | 193 |
| 1.883 | 48.33 | 152 |

Cell and atoms:
a = 9.7053 Å, b = 9.7053 Å, c = 7.0392 Å
α = 90.00°, β = 90.00°, γ = 154.74°
Atoms (fractional coordinates):
1 Li 0.1886 0.8114 0.5599
2 Li 0.1886 0.8114 0.9401
3 Li 0.8114 0.1886 0.0599
4 Li 0.8114 0.1886 0.4401
5 Ho 0.3467 0.6533 0.7500
6 Ho 0.4465 0.5535 0.2500
7 Ho 0.5535 0.4465 0.7500
8 Ho 0.6533 0.3467 0.2500
9 Ga 0.0602 0.9398 0.0694
10 Ga 0.0602 0.9398 0.4306
11 Ga 0.2750 0.7250 0.2500
12 Ga 0.7250 0.2750 0.7500
13 Ga 0.9398 0.0602 0.5694
14 Ga 0.9398 0.0602 0.9306


Computed powder diffractogram
Compound: La2Ga5Au
Radiation: Cu Kα (weighted mean of Kα1 and Kα2)
Structure: a structure optimized by DFT (GGA-PBE)

Main lines, sorted by position (2θ = 10–90°):
| d [Å] | 2θ/deg | I/Imax |
| --- | --- | --- |
| 3.208 | 27.81 | 1000 |
| 2.700 | 33.18 | 471 |
| 2.605 | 34.42 | 613 |
| 2.307 | 39.04 | 354 |
| 2.232 | 40.41 | 629 |
| 2.080 | 43.51 | 351 |
| 2.052 | 44.14 | 291 |
| 1.604 | 57.45 | 371 |

Cell and atoms:
a = 6.3135 Å, b = 6.3135 Å, c = 9.2278 Å
α = 90.00°, β = 90.00°, γ = 90.00°
Atoms (fractional coordinates):
1 La 0.0000 0.5000 0.0000
2 La 0.0000 0.5000 0.5000
3 La 0.5000 0.0000 0.0000
4 La 0.5000 0.0000 0.5000
5 Ga 0.0000 0.0000 0.0194
6 Ga 0.2080 0.2080 0.2463
7 Ga 0.2080 0.7920 0.2463
8 Ga 0.2920 0.2920 0.7463
9 Ga 0.2920 0.7080 0.7463
10 Ga 0.5000 0.5000 0.5194
11 Ga 0.7080 0.2920 0.7463
12 Ga 0.7080 0.7080 0.7463
13 Ga 0.7920 0.2080 0.2463
14 Ga 0.7920 0.7920 0.2463
15 Au 0.0000 0.0000 0.7157
16 Au 0.5000 0.5000 0.2157


Computed powder diffractogram
Compound: SiH4Br3
Radiation: Cu Kα (weighted mean of Kα1 and Kα2)
Structure: a structure optimized by DFT (GGA-PBE)

Main lines, sorted by position (2θ = 10–90°):
| d [Å] | 2θ/deg | I/Imax |
| --- | --- | --- |
| 6.352 | 13.94 | 1000 |
| 4.055 | 21.92 | 836 |
| 3.072 | 29.07 | 792 |
| 2.686 | 33.36 | 352 |
| 2.239 | 40.28 | 409 |
| 2.128 | 42.49 | 262 |
| 2.096 | 43.16 | 259 |
| 1.923 | 47.28 | 201 |

Cell and atoms:
a = 4.3674 Å, b = 10.2170 Å, c = 8.1099 Å
α = 90.00°, β = 90.00°, γ = 90.00°
Atoms (fractional coordinates):
1 Si 0.0000 0.0000 0.0000
2 Si 0.5000 0.5000 0.5000
3 H 0.0000 0.1188 0.8924
4 H 0.0000 0.8812 0.8924
5 H 0.2235 0.5000 0.6064
6 H 0.2765 0.0000 0.1064
7 H 0.5000 0.3812 0.3924
8 H 0.5000 0.6188 0.3924
9 H 0.7235 0.0000 0.1064
10 H 0.7765 0.5000 0.6064
11 Br 0.0000 0.1669 0.4863
12 Br 0.0000 0.5000 0.9910
13 Br 0.0000 0.8331 0.4863
14 Br 0.5000 0.0000 0.4910
15 Br 0.5000 0.3331 0.9863
16 Br 0.5000 0.6669 0.9863


Computed powder diffractogram
Compound: Pm2Pr2NdDy2
Radiation: Cu Kα (weighted mean of Kα1 and Kα2)
Structure: a structure optimized by DFT (GGA-PBE)

Main lines, sorted by position (2θ = 10–90°):
| d [Å] | 2θ/deg | I/Imax |
| --- | --- | --- |
| 3.297 | 27.05 | 413 |
| 2.981 | 29.97 | 1000 |
| 2.942 | 30.38 | 848 |
| 2.860 | 31.27 | 826 |
| 2.636 | 34.01 | 628 |
| 2.602 | 34.47 | 600 |
| 1.754 | 52.15 | 408 |
| 1.518 | 61.03 | 465 |

Cell and atoms:
a = 11.7818 Å, b = 3.5309 Å, c = 12.0052 Å
α = 90.00°, β = 101.44°, γ = 90.00°
Atoms (fractional coordinates):
1 Pm 0.2053 0.0000 0.3694
2 Pm 0.2947 0.5000 0.6306
3 Pm 0.7053 0.5000 0.3694
4 Pm 0.7947 0.0000 0.6306
5 Pr 0.1542 0.0000 0.0725
6 Pr 0.3458 0.5000 0.9275
7 Pr 0.6542 0.5000 0.0725
8 Pr 0.8458 0.0000 0.9275
9 Nd 0.0000 0.5000 0.5000
10 Nd 0.5000 0.0000 0.5000
11 Dy 0.0905 0.0000 0.7736
12 Dy 0.4095 0.5000 0.2264
13 Dy 0.5905 0.5000 0.7736
14 Dy 0.9095 0.0000 0.2264


Computed powder diffractogram
Compound: Ba2Sr6In
Radiation: Cu Kα (weighted mean of Kα1 and Kα2)
Structure: a structure optimized by DFT (GGA-PBE)

Main lines, sorted by position (2θ = 10–90°):
| d [Å] | 2θ/deg | I/Imax |
| --- | --- | --- |
| 5.629 | 15.74 | 251 |
| 3.676 | 24.21 | 232 |
| 3.424 | 26.03 | 1000 |
| 3.252 | 27.42 | 725 |
| 3.235 | 27.58 | 873 |
| 2.807 | 31.88 | 309 |
| 2.799 | 31.98 | 621 |
| 1.797 | 50.81 | 368 |

Cell and atoms:
a = 4.3140 Å, b = 11.2383 Å, c = 11.2383 Å
α = 119.75°, β = 90.00°, γ = 90.00°
Atoms (fractional coordinates):
1 Ba 0.0000 0.1766 0.8234
2 Ba 0.0000 0.8234 0.1766
3 Sr 0.0000 0.2555 0.4814
4 Sr 0.0000 0.4814 0.2555
5 Sr 0.0000 0.7692 0.7692
6 Sr 0.5000 0.1119 0.1119
7 Sr 0.5000 0.5072 0.8412
8 Sr 0.5000 0.8412 0.5072
9 In 0.5000 0.5223 0.5223


Computed powder diffractogram
Compound: LaTlO4
Radiation: Cu Kα (weighted mean of Kα1 and Kα2)
Structure: a structure optimized by DFT (GGA-PBE)

Main lines, sorted by position (2θ = 10–90°):
| d [Å] | 2θ/deg | I/Imax |
| --- | --- | --- |
| 3.538 | 25.17 | 299 |
| 3.287 | 27.13 | 514 |
| 3.062 | 29.17 | 1000 |
| 3.010 | 29.68 | 359 |
| 2.962 | 30.18 | 401 |
| 2.312 | 38.96 | 311 |
| 2.012 | 45.05 | 346 |
| 1.663 | 55.23 | 329 |

Cell and atoms:
a = 7.1022 Å, b = 3.8565 Å, c = 6.5975 Å
α = 90.00°, β = 94.89°, γ = 90.00°
Atoms (fractional coordinates):
1 La 0.0000 0.0000 0.0000
2 La 0.5000 0.5000 0.0000
3 Tl 0.3587 0.0000 0.4639
4 Tl 0.8587 0.5000 0.4639
5 O 0.0329 0.0000 0.3832
6 O 0.0940 0.5000 0.7670
7 O 0.2755 0.5000 0.6785
8 O 0.3302 0.0000 0.0909
9 O 0.5329 0.5000 0.3832
10 O 0.5940 0.0000 0.7670
11 O 0.7755 0.0000 0.6785
12 O 0.8302 0.5000 0.0909


Computed powder diffractogram
Compound: Hf4Ti2Bi5
Radiation: Cu Kα (weighted mean of Kα1 and Kα2)
Structure: a structure optimized by DFT (GGA-PBE)

Main lines, sorted by position (2θ = 10–90°):
| d [Å] | 2θ/deg | I/Imax |
| --- | --- | --- |
| 8.754 | 10.10 | 234 |
| 6.220 | 14.24 | 241 |
| 3.625 | 24.56 | 279 |
| 2.629 | 34.11 | 1000 |
| 2.559 | 35.07 | 258 |
| 2.545 | 35.26 | 281 |
| 2.245 | 40.16 | 400 |
| 2.236 | 40.35 | 385 |

Cell and atoms:
a = 11.2331 Å, b = 11.2331 Å, c = 8.9473 Å
α = 101.80°, β = 101.80°, γ = 16.63°
Atoms (fractional coordinates):
1 Hf 0.0030 0.0030 0.2106
2 Hf 0.2815 0.2815 0.8962
3 Hf 0.7185 0.7185 0.1038
4 Hf 0.9970 0.9970 0.7894
5 Ti 0.4257 0.4257 0.9683
6 Ti 0.5743 0.5743 0.0317
7 Bi 0.1420 0.1420 0.8218
8 Bi 0.1465 0.1465 0.3086
9 Bi 0.5000 0.5000 0.5000
10 Bi 0.8535 0.8535 0.6914
11 Bi 0.8580 0.8580 0.1782


Computed powder diffractogram
Compound: TiTe4Mo2Se2
Radiation: Cu Kα (weighted mean of Kα1 and Kα2)
Structure: a structure optimized by DFT (GGA-PBE)

Main lines, sorted by position (2θ = 10–90°):
| d [Å] | 2θ/deg | I/Imax |
| --- | --- | --- |
| 7.466 | 11.85 | 757 |
| 3.733 | 23.84 | 245 |
| 3.061 | 29.18 | 642 |
| 2.686 | 33.36 | 374 |
| 2.527 | 35.52 | 1000 |
| 2.212 | 40.80 | 388 |
| 2.066 | 43.82 | 479 |
| 1.767 | 51.73 | 482 |

Cell and atoms:
a = 3.5343 Å, b = 3.5343 Å, c = 22.3993 Å
α = 90.00°, β = 90.00°, γ = 120.00°
Atoms (fractional coordinates):
1 Ti 0.0000 0.0000 0.0000
2 Te 0.0000 0.0000 0.2364
3 Te 0.0000 0.0000 0.3990
4 Te 0.6667 0.3333 0.5701
5 Te 0.6667 0.3333 0.7326
6 Mo 0.0000 0.0000 0.6513
7 Mo 0.6667 0.3333 0.3178
8 Se 0.6667 0.3333 0.0720
9 Se 0.6667 0.3333 0.9282


Computed powder diffractogram
Compound: Ba2CoW
Radiation: Cu Kα (weighted mean of Kα1 and Kα2)
Structure: a structure optimized by DFT (GGA-PBE)

Main lines, sorted by position (2θ = 10–90°):
| d [Å] | 2θ/deg | I/Imax |
| --- | --- | --- |
| 3.342 | 26.67 | 517 |
| 3.236 | 27.56 | 540 |
| 3.175 | 28.11 | 746 |
| 2.405 | 37.39 | 514 |
| 2.210 | 40.83 | 1000 |
| 2.147 | 42.08 | 284 |
| 1.588 | 58.10 | 221 |
| 1.529 | 60.54 | 318 |

Cell and atoms:
a = 3.3929 Å, b = 3.6429 Å, c = 19.4158 Å
α = 90.00°, β = 90.00°, γ = 90.00°
Atoms (fractional coordinates):
1 Ba 0.0000 0.0000 0.1446
2 Ba 0.0000 0.0000 0.8554
3 Ba 0.5000 0.5000 0.3554
4 Ba 0.5000 0.5000 0.6446
5 Co 0.0000 0.5000 0.5000
6 Co 0.5000 0.0000 0.0000
7 W 0.0000 0.5000 0.0000
8 W 0.5000 0.0000 0.5000